Starting from a crystal structure in Alexandria, relaxed with GGA-PBE, the X-ray diffraction stick pattern of LiBi2RuO8 was computed for Cu Ka.
Intensities are scaled so that the largest is 1000.

Atomic structure:
Cell lengths 4.8217, 6.7156, 4.8452 Å; angles 90.00, 90.19, 90.00 degrees
Fractional coordinates of all 12 atoms:
Li (0.0000, 0.0000, 0.0000)
Bi (0.5000, 0.2437, 0.5000)
Bi (0.5000, 0.7563, 0.5000)
Ru (0.0000, 0.5000, 0.0000)
O (0.1877, 0.2816, 0.8212)
O (0.1877, 0.7184, 0.8212)
O (0.2832, 0.5000, 0.2932)
O (0.2933, 0.0000, 0.3002)
O (0.7067, 0.0000, 0.6998)
O (0.7168, 0.5000, 0.7068)
O (0.8123, 0.2816, 0.1788)
O (0.8123, 0.7184, 0.1788)

The 8 most intense peaks (5 to 70 degrees two-theta), sorted by position:
hkl 1 0 0, 2θ 18.36, d 4.833, I = 651; hkl 1 1 0, 2θ 22.67, d 3.923, I = 149; hkl 1 0 -1, 2θ 26.07, d 3.418, I = 1000; hkl 1 2 0, 2θ 32.47, d 2.758, I = 899; hkl 1 2 1, 2θ 37.57, d 2.394, I = 291; hkl 1 2 -2, 2θ 50.14, d 1.819, I = 353; hkl 2 2 -1, 2θ 50.25, d 1.816, I = 360; hkl 1 4 -1, 2θ 61.54, d 1.507, I = 180